Structure and computed powder XRD pattern of Mn6O5F7 (a PBE+U-relaxed structure; λ = 1.5418 Å (Cu Kα)).
Intensities are scaled so that the largest is 100.

Principal peaks in the range 2θ = 10–80°, by intensity:
d_spacing, two_theta, I/Imax
3.493, 25.50, 100.0
2.622, 34.19, 95.3
3.230, 27.61, 84.9
1.798, 50.78, 63.3
1.720, 53.27, 25.3
1.414, 66.08, 24.4
1.725, 53.08, 23.1
1.411, 66.23, 20.2
1.746, 52.39, 17.5
2.338, 38.50, 17.3
1.574, 58.67, 17.2
1.615, 57.02, 14.8

Cell and atoms:
Unit cell a=9.0372 b=6.9851 c=7.1760 alpha=90.00 beta=109.84 gamma=90.00
Space group C2 (No. 5)
Inequivalent atoms, fractional coordinates:
Mn (0.0000, 0.0000, 0.0000) x2
Mn (0.0000, 0.0164, 0.5000) x2
Mn (0.1492, 0.4825, 0.6695) x4
Mn (0.1669, 0.4920, 0.1542) x4
O (0.0000, 0.3084, 0.5000) x2
O (0.0573, 0.4815, 0.8686) x4
O (0.1069, 0.0062, 0.8020) x4
F (0.0000, 0.7149, 0.5000) x2
F (0.1598, 0.8013, 0.1701) x4
F (0.1828, 0.1742, 0.1824) x4
F (0.2488, 0.9988, 0.5407) x4